Structure and theoretical X-ray powder pattern of Ce6GaCl8 (a cell relaxed with PBE; a wavelength of 1.5418 Å).
Lines closer than 0.1° are merged.

Largest 10 diffraction maxima, sorted by position, 5° ≤ 2θ ≤ 70°:
Position (°2θ)  I (rel.)  index
8.76  79  0 0 3
17.57  12  0 0 6
25.53  15  1 1 0
27.04  38  1 1 3
31.16  100  2 -1 6
37.12  16  1 1 9
44.30  37  1 1 12
45.00  31  3 0 0
55.75  18  2 2 6
64.99  11  4 -2 12

Crystal structure
```
data_Ce6GaCl8
_chemical_formula_sum 'Ce18 Ga3 Cl24'
_space_group_name_H-M_alt 'R -3'
_space_group_IT_number 148
_space_group_name_Hall '-R 3'
_cell_length_a 6.9780
_cell_length_b 6.9780
_cell_length_c 30.2831
_cell_angle_alpha 90.00
_cell_angle_beta 90.00
_cell_angle_gamma 120.00
loop_
_atom_site_label
_atom_site_fract_x
_atom_site_fract_y
_atom_site_fract_z
_atom_site_occupancy
Ce1 0.9999 0.3412 0.0556 1
Ga1 0.0000 0.0000 0.0000 1
Cl1 0.0000 0.0000 0.3334 1
Cl2 0.9998 0.3235 0.8885 1
```


Structure and theoretical X-ray powder pattern of CsPu3F9 (a cell relaxed with PBE; a wavelength of 1.5418 Å).
Lines closer than 0.1° are merged.

Largest 10 diffraction maxima, sorted by position, 5° ≤ 2θ ≤ 70°:
Position (°2θ)  I (rel.)  index
19.14  30  0 0 1
22.43  38  1 0 1
23.27  100  2 0 0
27.91  25  1 1 1
30.30  30  2 0 1
40.90  30  2 2 0
45.52  17  2 2 1
45.77  34  2 0 2
47.58  17  4 0 0
57.67  22  2 2 2

Crystal structure
```
data_CsPu3F9
_chemical_formula_sum 'Cs1 Pu3 F9'
_space_group_name_H-M_alt 'P 6/m m m'
_space_group_IT_number 191
_space_group_name_Hall '-P 6 2'
_cell_length_a 8.8268
_cell_length_b 8.8268
_cell_length_c 4.6370
_cell_angle_alpha 90.00
_cell_angle_beta 90.00
_cell_angle_gamma 120.00
loop_
_atom_site_label
_atom_site_fract_x
_atom_site_fract_y
_atom_site_fract_z
_atom_site_occupancy
Cs1 0.0000 0.0000 0.0000 1
Pu1 0.0000 0.5000 0.5000 1
F1 0.0000 0.5000 0.0000 1
F2 0.1979 0.3958 0.5000 1
```


Structure and theoretical X-ray powder pattern of Mg6Hg3Ge (a cell relaxed with PBE; a wavelength of 1.5418 Å).
Lines closer than 0.1° are merged.

Largest 10 diffraction maxima, sorted by position, 5° ≤ 2θ ≤ 70°:
Position (°2θ)  I (rel.)  index
13.29  19  1 1 0
22.91  80  2 1 0
26.81  100  1 2 1
32.08  26  0 4 0
32.35  69  1 3 1
37.59  61  3 0 1
37.72  30  0 0 2
50.23  36  3 4 1
50.34  22  0 4 2
54.05  18  2 6 0

Crystal structure
```
data_Mg6Hg3Ge
_chemical_formula_sum 'Mg12 Hg6 Ge2'
_space_group_name_H-M_alt 'P n n m'
_space_group_IT_number 58
_space_group_name_Hall '-P 2 2n'
_cell_length_a 8.299
_cell_length_b 11.161
_cell_length_c 4.770
_cell_angle_alpha 90.00
_cell_angle_beta 90.00
_cell_angle_gamma 90.00
loop_
_atom_site_label
_atom_site_fract_x
_atom_site_fract_y
_atom_site_fract_z
_atom_site_occupancy
Mg1 0.000 0.245 0.000 1
Mg2 0.163 0.088 0.500 1
Mg3 0.173 0.405 0.500 1
Hg1 0.000 0.500 0.000 1
Hg2 0.166 0.734 0.500 1
Ge1 0.000 0.000 0.000 1
```